# Fe3Sn2S8
Calculated powder diffraction line list, Cu Kα, 1.54184 Å. Input: a DFT-relaxed cell (PBE, the Materials Project).
Peak positions follow from Bragg's law for the DFT cell and can differ from measured ones.

Structural model:
Unit cell a=7.1502 b=7.1502 c=7.1502 alpha=121.80 beta=117.93 gamma=90.27
Element x y z (fractional)
1 Fe 0.0000 0.0000 0.0000
2 Fe 0.3849 0.1475 0.7626
3 Fe 0.3849 0.6223 0.2374
4 Sn 0.3902 0.6288 0.7614
5 Sn 0.8674 0.6288 0.2386
6 S 0.1504 0.3932 0.2427
7 S 0.1504 0.9077 0.7573
8 S 0.1640 0.8838 0.2801
9 S 0.1699 0.3769 0.7931
10 S 0.5838 0.3769 0.2069
11 S 0.6037 0.8838 0.7199
12 S 0.6069 0.3430 0.7362
13 S 0.6069 0.8707 0.2638

Top 8 peaks for 2θ = 10–90°, in order of rising 2θ:
d 5.953, I = 50; d 5.726, I = 91; d 5.051, I = 33; d 3.100, I = 97; d 3.027, I = 46; d 2.530, I = 100; d 2.522, I = 49; d 1.786, I = 93



# Fe2SnS4
Calculated powder diffraction line list, Cu Kα, 1.54184 Å. Input: a DFT-relaxed cell (PBE, the Materials Project).
Peak positions follow from Bragg's law for the DFT cell and can differ from measured ones.

Structural model:
Unit cell a=7.0004 b=7.0004 c=7.0004 alpha=120.46 beta=119.07 gamma=90.41
Element x y z (fractional)
1 Fe 0.0000 0.0000 0.5000
2 Fe 0.0000 0.5000 0.0000
3 Fe 0.3825 0.1325 0.2500
4 Fe 0.6175 0.8675 0.7500
5 Sn 0.0000 0.5000 0.5000
6 Sn 0.5000 0.5000 0.0000
7 S 0.2133 0.2385 0.9747
8 S 0.2362 0.7615 0.4747
9 S 0.2366 0.2151 0.4785
10 S 0.2366 0.7582 0.0215
11 S 0.7634 0.2418 0.9785
12 S 0.7634 0.7849 0.5215
13 S 0.7638 0.2385 0.5253
14 S 0.7867 0.7615 0.0253

Top 8 peaks for 2θ = 10–90°, in order of rising 2θ:
d 5.682, I = 34; d 3.010, I = 100; d 2.978, I = 49; d 2.972, I = 54; d 2.483, I = 66; d 2.466, I = 32; d 1.903, I = 27; d 1.750, I = 90